For NaLi2AgF, a DFT-relaxed cell (GGA-PBE, Alexandria) gives the simulated powder diffractogram in this record (CuKα).

Largest 8 diffraction maxima, in order of rising 2θ, 2θ from 10° to 90°:
hkl	Position (°2θ)	I/Imax
0 0 1	18.64	66
1 0 0	21.30	39
1 0 1	28.45	100
1 1 0	30.30	78
1 1 1	35.81	75
2 0 0	43.38	36
1 1 2	49.18	37
2 1 1	52.69	33

Structure:
Cell: 4.172 4.172 4.761 Å, 90.00 90.00 90.00°
Space group P4/mmm (No. 123)
Inequivalent atoms, fractional coordinates:
Na (0.000, 0.000, 0.000) [1 per cell]
Li (0.000, 0.500, 0.500) [2 per cell]
Ag (0.500, 0.500, 0.000) [1 per cell]
F (0.000, 0.000, 0.500) [1 per cell]

=====

For Ac2Ga12Ir7, a DFT-relaxed cell (GGA-PBE, Alexandria) gives the simulated powder diffractogram in this record (CuKα).

Largest 8 diffraction maxima, in order of rising 2θ, 2θ from 10° to 90°:
hkl	Position (°2θ)	I/Imax
1 2 0	26.81	28
2 0 1	29.73	73
1 2 1	34.68	100
2 2 0	35.34	36
2 2 1	41.79	67
1 3 1	43.09	44
0 0 2	44.00	48
2 3 1	50.35	30

Structure:
Cell: 10.1598 10.1598 4.1157 Å, 90.00 90.00 120.00°
Space group P-6 (No. 174)
Inequivalent atoms, fractional coordinates:
Ac (0.0000, 0.0000, 0.0000) [1 per cell]
Ac (0.3333, 0.6667, 0.5000) [1 per cell]
Ga (0.0127, 0.7327, 0.5000) [3 per cell]
Ga (0.1625, 0.3937, 0.0000) [3 per cell]
Ga (0.3792, 0.1795, 0.0000) [3 per cell]
Ga (0.5468, 0.1401, 0.5000) [3 per cell]
Ir (0.0204, 0.5525, 0.0000) [3 per cell]
Ir (0.2578, 0.0007, 0.5000) [3 per cell]
Ir (0.6667, 0.3333, 0.0000) [1 per cell]

=====

For Ba2AcAs2I2, a DFT-relaxed cell (GGA-PBE, Alexandria) gives the simulated powder diffractogram in this record (CuKα).

Largest 8 diffraction maxima, in order of rising 2θ, 2θ from 10° to 90°:
hkl	Position (°2θ)	I/Imax
1 1 0	21.41	70
1 0 5	29.33	100
2 0 0	30.46	69
2 1 5	42.79	67
2 2 0	43.62	26
3 1 0	49.08	16
3 0 5	53.44	19
3 2 5	62.76	22

Structure:
Cell: 5.869 5.869 17.812 Å, 90.00 90.00 90.00°
Space group I4/mmm (No. 139)
Inequivalent atoms, fractional coordinates:
Ba (0.000, 0.000, 0.113) [4 per cell]
Ac (0.000, 0.000, 0.500) [2 per cell]
As (0.000, 0.500, 0.000) [4 per cell]
I (0.000, 0.000, 0.310) [4 per cell]

=====

For Sr4LiZn3, a DFT-relaxed cell (GGA-PBE, Alexandria) gives the simulated powder diffractogram in this record (CuKα).

Largest 8 diffraction maxima, in order of rising 2θ, 2θ from 10° to 90°:
hkl	Position (°2θ)	I/Imax
1 0 2	24.24	22
1 1 1	27.96	100
0 1 3	28.98	62
1 1 3	35.03	52
1 0 4	35.39	29
0 2 0	37.92	28
2 0 0	39.08	25
2 1 3	49.38	28

Structure:
Cell: 4.610 4.746 12.150 Å, 90.00 90.00 90.00°
Space group Pmm2 (No. 25)
Inequivalent atoms, fractional coordinates:
Sr (0.000, 0.000, 0.000) [1 per cell]
Sr (0.000, 0.500, 0.483) [1 per cell]
Sr (0.500, 0.000, 0.701) [1 per cell]
Sr (0.500, 0.500, 0.206) [1 per cell]
Li (0.000, 0.500, 0.793) [1 per cell]
Zn (0.000, 0.000, 0.290) [1 per cell]
Zn (0.500, 0.000, 0.402) [1 per cell]
Zn (0.500, 0.500, 0.913) [1 per cell]